No. 1
The following is a calculated PXRD pattern of Nd8Cu2Ni. It was derived from a GGA-PBE-relaxed structure, using Cu Kα, 1.54184 Å.

Peak list (10 most intense, 2θ from 10° to 80°, in order of rising 2θ)
| Position (°2θ) | d [Å] | I_rel |
| --- | --- | --- |
| 23.8 | 3.736 | 14.3 |
| 29.9 | 2.986 | 33.2 |
| 30.0 | 2.975 | 43.8 |
| 30.9 | 2.893 | 100.0 |
| 35.5 | 2.528 | 36.4 |
| 36.4 | 2.468 | 27.4 |
| 42.6 | 2.121 | 15.4 |
| 52.1 | 1.755 | 14.3 |
| 58.9 | 1.567 | 14.8 |
| 60.0 | 1.542 | 21.0 |

Lattice parameters (Å, degrees): 7.767 7.767 6.166 103.68 103.68 106.94
Positions (direct):
Nd 0.000 0.000 0.000
Nd 0.222 0.518 0.244
Nd 0.269 0.998 0.570
Nd 0.464 0.752 0.892
Nd 0.518 0.222 0.244
Nd 0.738 0.738 0.432
Nd 0.752 0.464 0.892
Nd 0.998 0.269 0.570
Cu 0.059 0.665 0.703
Cu 0.665 0.059 0.703
Ni 0.376 0.376 0.921

No. 2
The following is a calculated PXRD pattern of Ag4Bi. It was derived from a GGA-PBE-relaxed structure, using Cu Kα, 1.54184 Å.

Peak list (10 most intense, 2θ from 10° to 80°, in order of rising 2θ)
| Position (°2θ) | d [Å] | I_rel |
| --- | --- | --- |
| 22.7 | 3.919 | 14.1 |
| 26.3 | 3.394 | 17.8 |
| 32.3 | 2.771 | 63.2 |
| 35.0 | 2.565 | 62.0 |
| 37.5 | 2.400 | 12.5 |
| 39.8 | 2.262 | 100.0 |
| 48.4 | 1.882 | 14.7 |
| 59.4 | 1.557 | 42.9 |
| 69.2 | 1.357 | 19.7 |
| 72.3 | 1.306 | 15.2 |

Lattice parameters (Å, degrees): 8.312 8.312 8.312 109.47 109.47 109.47
Positions (direct):
Ag 0.000 0.000 0.781
Ag 0.000 0.351 0.351
Ag 0.000 0.649 0.649
Ag 0.000 0.781 0.000
Ag 0.219 0.219 0.219
Ag 0.250 0.500 0.750
Ag 0.250 0.750 0.500
Ag 0.351 0.000 0.351
Ag 0.351 0.351 0.000
Ag 0.500 0.250 0.750
Ag 0.500 0.750 0.250
Ag 0.649 0.000 0.649
Ag 0.649 0.649 0.000
Ag 0.750 0.250 0.500
Ag 0.750 0.500 0.250
Ag 0.781 0.000 0.000
Bi 0.000 0.000 0.411
Bi 0.000 0.411 0.000
Bi 0.411 0.000 0.000
Bi 0.589 0.589 0.589

No. 3
The following is a calculated PXRD pattern of In3Sn2Pd7. It was derived from a GGA-PBE-relaxed structure, using Cu Kα, 1.54184 Å.

Peak list (10 most intense, 2θ from 10° to 80°, in order of rising 2θ)
| Position (°2θ) | d [Å] | I_rel |
| --- | --- | --- |
| 28.8 | 3.105 | 6.5 |
| 34.5 | 2.597 | 14.8 |
| 38.0 | 2.369 | 33.9 |
| 38.1 | 2.362 | 33.6 |
| 40.8 | 2.210 | 100.0 |
| 54.9 | 1.673 | 23.0 |
| 67.4 | 1.389 | 5.8 |
| 70.6 | 1.335 | 19.4 |
| 70.7 | 1.333 | 20.8 |
| 76.2 | 1.249 | 12.5 |

Lattice parameters (Å, degrees): 10.567 10.567 4.738 90.00 90.00 154.16
Positions (direct):
In 0.000 0.000 0.000
In 0.158 0.842 0.000
In 0.842 0.158 0.000
Sn 0.352 0.648 0.500
Sn 0.648 0.352 0.500
Pd 0.074 0.926 0.500
Pd 0.216 0.784 0.500
Pd 0.422 0.578 0.000
Pd 0.500 0.500 0.500
Pd 0.578 0.422 0.000
Pd 0.784 0.216 0.500
Pd 0.926 0.074 0.500